Theoretical XRD peak list
Compound: DyHoNi2B4
Radiation: λ = 1.5418 Å (Cu Kα)
Structure: a crystal structure in OQMD, relaxed with PBE
No peak broadening, texture or thermal motion is included.

Structural model:
Lattice parameters (Å, degrees): 3.660 3.660 7.750 90.00 90.00 90.00
Space group P4mm (No. 99)
Symmetry-distinct sites (fractional):
1 Dy 0.000 0.000 0.000
2 Ho 0.500 0.500 0.643
3 Ni 0.000 0.500 0.322
4 B 0.000 0.000 0.455
5 B 0.000 0.000 0.665
6 B 0.500 0.500 0.188
7 B 0.500 0.500 0.978

Top 10 peaks for 2θ = 10–90°, sorted by position:
2θ/deg, I (rel.), index
26.94, 100, 1 0 1
33.68, 52, 1 0 2
34.70, 57, 0 0 3
36.61, 47, 1 1 1
41.98, 51, 1 1 2
49.84, 41, 2 0 0
53.51, 21, 1 0 4
57.55, 26, 2 1 1
61.50, 19, 2 1 2
62.16, 27, 2 0 3

---

Theoretical XRD peak list
Compound: DyHo2Ni2B2P3
Radiation: λ = 1.5418 Å (Cu Kα)
Structure: a crystal structure in OQMD, relaxed with PBE
No peak broadening, texture or thermal motion is included.

Structural model:
Lattice parameters (Å, degrees): 3.923 3.923 21.213 90.00 90.00 90.00
Space group I4/mmm (No. 139)
Symmetry-distinct sites (fractional):
1 Dy 0.000 0.000 0.000
2 Ho 0.000 0.000 0.363
3 Ni 0.000 0.500 0.250
4 B 0.000 0.000 0.219
5 P 0.000 0.000 0.128
6 P 0.000 0.000 0.500

Top 10 peaks for 2θ = 10–90°, sorted by position:
2θ/deg, I (rel.), index
25.97, 100, 1 0 3
31.05, 29, 1 0 5
32.27, 52, 1 1 0
33.39, 29, 1 1 2
33.80, 45, 0 0 8
36.55, 31, 1 1 4
41.37, 52, 1 1 6
46.28, 46, 2 0 0
53.83, 29, 2 1 3
58.53, 36, 2 0 8